No. 1
Computed X-ray powder pattern
Compound: Cs2ThCl
Radiation: a wavelength of 1.5418 Å
Structure: a cell relaxed with PBE

```
Cs2ThCl
1.0
3.891 0.000 0.000
-1.945 3.370 0.000
0.000 0.000 12.947
Cs Th Cl
2 1 1
direct
0.000 0.000 0.190 Cs
0.000 0.000 0.810 Cs
0.000 0.000 0.500 Th
0.667 0.333 0.000 Cl
```

Principal peaks in the range 10° ≤ 2θ ≤ 90°, sorted by position:
| d/Å | 2theta | I_rel |
| --- | --- | --- |
| 4.316 | 20.6 | 44 |
| 3.370 | 26.5 | 90 |
| 2.656 | 33.7 | 100 |
| 1.945 | 46.7 | 24 |
| 1.774 | 51.5 | 24 |
| 1.569 | 58.8 | 20 |


No. 2
Computed X-ray powder pattern
Compound: AgS2Cl6
Radiation: a wavelength of 1.5418 Å
Structure: a cell relaxed with PBE

```
AgS2Cl6
1.0
4.169 0.000 0.000
0.001 7.157 0.000
1.233 1.473 8.034
Ag S Cl
1 2 6
direct
0.000 0.000 0.000 Ag
0.326 0.246 0.766 S
0.674 0.754 0.234 S
0.091 0.491 0.783 Cl
0.260 0.198 0.539 Cl
0.339 0.147 0.163 Cl
0.661 0.853 0.837 Cl
0.740 0.802 0.461 Cl
0.909 0.509 0.217 Cl
```

Principal peaks in the range 10° ≤ 2θ ≤ 90°, sorted by position:
| d/Å | 2theta | I_rel |
| --- | --- | --- |
| 8.034 | 11.0 | 100 |
| 7.039 | 12.6 | 89 |
| 5.843 | 15.2 | 95 |
| 3.244 | 27.5 | 92 |
| 2.713 | 33.0 | 76 |
| 2.398 | 37.5 | 94 |


No. 3
Computed X-ray powder pattern
Compound: HgPSe2S
Radiation: a wavelength of 1.5418 Å
Structure: a cell relaxed with PBE

```
HgPSe2S
1.0
6.500 0.000 0.000
-3.198 5.785 0.000
-2.017 -2.153 7.103
Hg P Se S
2 2 4 2
direct
0.129 0.253 0.346 Hg
0.871 0.747 0.654 Hg
0.464 0.947 0.341 P
0.536 0.053 0.659 P
0.071 0.833 0.190 Se
0.488 0.365 0.716 Se
0.512 0.635 0.284 Se
0.929 0.167 0.810 Se
0.285 0.761 0.719 S
0.715 0.239 0.281 S
```

Principal peaks in the range 10° ≤ 2θ ≤ 90°, sorted by position:
| d/Å | 2theta | I_rel |
| --- | --- | --- |
| 7.103 | 12.5 | 100 |
| 5.619 | 15.8 | 68 |
| 3.552 | 25.1 | 79 |
| 3.323 | 26.8 | 63 |
| 2.880 | 31.1 | 62 |
| 1.874 | 48.6 | 60 |


No. 4
Computed X-ray powder pattern
Compound: LaGa5IrPt
Radiation: a wavelength of 1.5418 Å
Structure: a cell relaxed with PBE

```
LaGa5IrPt
1.0
-2.068 3.659 5.002
2.068 -3.659 5.002
2.068 3.659 -5.002
La Ga Ir Pt
1 5 1 1
direct
0.000 0.000 0.000 La
0.159 0.348 0.811 Ga
0.451 0.646 0.804 Ga
0.501 0.001 0.500 Ga
0.538 0.348 0.189 Ga
0.842 0.646 0.196 Ga
0.260 0.760 0.500 Ir
0.743 0.243 0.500 Pt
```

Principal peaks in the range 10° ≤ 2θ ≤ 90°, sorted by position:
| d/Å | 2theta | I_rel |
| --- | --- | --- |
| 2.922 | 30.6 | 92 |
| 2.643 | 33.9 | 55 |
| 2.596 | 34.6 | 36 |
| 2.066 | 43.8 | 100 |
| 1.937 | 46.9 | 46 |
| 1.461 | 63.7 | 39 |


No. 5
Computed X-ray powder pattern
Compound: Rb2MoPbN4
Radiation: a wavelength of 1.5418 Å
Structure: a cell relaxed with PBE

```
Rb2MoPbN4
1.0
-3.052 3.052 4.340
3.052 -3.052 4.340
3.052 3.052 -4.340
Rb Mo Pb N
2 1 1 4
direct
0.000 0.000 0.000 Rb
0.750 0.250 0.500 Rb
0.250 0.750 0.500 Mo
0.500 0.500 0.000 Pb
0.242 0.640 0.149 N
0.360 0.509 0.602 N
0.491 0.093 0.851 N
0.907 0.758 0.398 N
```

Principal peaks in the range 10° ≤ 2θ ≤ 90°, sorted by position:
| d/Å | 2theta | I_rel |
| --- | --- | --- |
| 4.992 | 17.8 | 17 |
| 3.057 | 29.2 | 100 |
| 2.158 | 41.9 | 13 |
| 1.768 | 51.7 | 15 |
| 1.763 | 51.8 | 27 |
| 1.365 | 68.8 | 12 |


No. 6
Computed X-ray powder pattern
Compound: CsRbCuP
Radiation: a wavelength of 1.5418 Å
Structure: a cell relaxed with PBE

```
CsRbCuP
1.0
6.512 0.000 0.000
0.000 6.131 0.000
-2.137 0.000 6.216
Cs Rb Cu P
2 2 2 2
direct
0.025 0.250 0.186 Cs
0.975 0.750 0.814 Cs
0.317 0.750 0.480 Rb
0.683 0.250 0.520 Rb
0.500 0.000 0.000 Cu
0.500 0.500 0.000 Cu
0.291 0.250 0.775 P
0.709 0.750 0.225 P
```

Principal peaks in the range 10° ≤ 2θ ≤ 90°, sorted by position:
| d/Å | 2theta | I_rel |
| --- | --- | --- |
| 3.230 | 27.6 | 100 |
| 3.204 | 27.8 | 33 |
| 2.857 | 31.3 | 44 |
| 2.840 | 31.5 | 40 |
| 2.747 | 32.6 | 39 |
| 1.706 | 53.7 | 27 |


No. 7
Computed X-ray powder pattern
Compound: Lu4GaNi2Ge4
Radiation: a wavelength of 1.5418 Å
Structure: a cell relaxed with PBE

```
Lu4GaNi2Ge4
1.0
7.531 -2.089 0.000
7.531 2.089 0.000
-2.126 0.000 6.494
Lu Ga Ni Ge
4 1 2 4
direct
0.090 0.090 0.387 Lu
0.154 0.154 0.939 Lu
0.846 0.846 0.061 Lu
0.910 0.910 0.613 Lu
0.500 0.500 0.000 Ga
0.282 0.282 0.359 Ni
0.718 0.718 0.641 Ni
0.300 0.300 0.737 Ge
0.436 0.436 0.332 Ge
0.564 0.564 0.668 Ge
0.700 0.700 0.263 Ge
```

Principal peaks in the range 10° ≤ 2θ ≤ 90°, sorted by position:
| d/Å | 2theta | I_rel |
| --- | --- | --- |
| 2.626 | 34.1 | 75 |
| 2.533 | 35.4 | 100 |
| 2.429 | 37.0 | 48 |
| 2.422 | 37.1 | 71 |
| 2.362 | 38.1 | 35 |
| 2.089 | 43.3 | 56 |


No. 8
Computed X-ray powder pattern
Compound: GdAgTe3Pb
Radiation: a wavelength of 1.5418 Å
Structure: a cell relaxed with PBE

```
GdAgTe3Pb
1.0
11.364 0.000 0.000
0.000 4.376 0.000
0.000 0.000 14.748
Gd Ag Te Pb
4 4 12 4
direct
0.019 0.250 0.243 Gd
0.481 0.750 0.743 Gd
0.519 0.250 0.257 Gd
0.981 0.750 0.757 Gd
0.240 0.250 0.722 Ag
0.260 0.750 0.222 Ag
0.740 0.250 0.778 Ag
0.760 0.750 0.278 Ag
0.038 0.250 0.609 Te
0.074 0.750 0.099 Te
0.235 0.750 0.844 Te
0.265 0.250 0.344 Te
0.426 0.250 0.599 Te
0.462 0.750 0.109 Te
0.538 0.250 0.891 Te
0.574 0.750 0.401 Te
0.735 0.750 0.656 Te
0.765 0.250 0.156 Te
0.926 0.250 0.901 Te
0.962 0.750 0.391 Te
0.224 0.750 0.516 Pb
0.276 0.250 0.016 Pb
0.724 0.750 0.984 Pb
0.776 0.250 0.484 Pb
```

Principal peaks in the range 10° ≤ 2θ ≤ 90°, sorted by position:
| d/Å | 2theta | I_rel |
| --- | --- | --- |
| 3.141 | 28.4 | 70 |
| 2.835 | 31.6 | 100 |
| 2.811 | 31.8 | 19 |
| 2.256 | 40.0 | 19 |
| 2.247 | 40.1 | 21 |
| 2.188 | 41.3 | 26 |


What is the formula in the fifth record? Rb2MoPbN4